1.
Starting from a cell relaxed with PBE, the PXRD pattern of Na5B8C2 was calculated for Cu Kα, 1.54184 Å.

Atomic structure:
```
data_Na5B8C2
_chemical_formula_sum 'Na10 B16 C4'
_symmetry_space_group_name_H-M 'P 1'
_symmetry_Int_Tables_number 1
_symmetry_space_group_name_Hall 'P 1'
_cell_length_a 2.9396
_cell_length_b 2.9396
_cell_length_c 42.9012
_cell_angle_alpha 90.00
_cell_angle_beta 90.00
_cell_angle_gamma 120.00
loop_
_atom_site_label
_atom_site_fract_x
_atom_site_fract_y
_atom_site_fract_z
_atom_site_occupancy
Na1 0.0000 0.0000 0.0000 1
Na2 0.0000 0.0000 0.0977 1
Na3 0.0000 0.0000 0.1958 1
Na4 0.0000 0.0000 0.2970 1
Na5 0.0000 0.0000 0.3986 1
Na6 0.0000 0.0000 0.5000 1
Na7 0.0000 0.0000 0.6014 1
Na8 0.0000 0.0000 0.7030 1
Na9 0.0000 0.0000 0.8042 1
Na10 0.0000 0.0000 0.9023 1
B1 0.3333 0.6667 0.1466 1
B2 0.3333 0.6667 0.2464 1
B3 0.3333 0.6667 0.3479 1
B4 0.3333 0.6667 0.4493 1
B5 0.3333 0.6667 0.5507 1
B6 0.3333 0.6667 0.6521 1
B7 0.3333 0.6667 0.7536 1
B8 0.3333 0.6667 0.9512 1
B9 0.6667 0.3333 0.0488 1
B10 0.6667 0.3333 0.2464 1
B11 0.6667 0.3333 0.3479 1
B12 0.6667 0.3333 0.4493 1
B13 0.6667 0.3333 0.5507 1
B14 0.6667 0.3333 0.6521 1
B15 0.6667 0.3333 0.7536 1
B16 0.6667 0.3333 0.8534 1
C1 0.3333 0.6667 0.0488 1
C2 0.3333 0.6667 0.8535 1
C3 0.6667 0.3333 0.1465 1
C4 0.6667 0.3333 0.9512 1
```

Top 8 peaks for 15 to 90 degrees two-theta, by angle:
2θ (°)  d (Å)  I/Imax
35.25  2.546  20
41.23  2.189  100
42.13  2.145  22
56.06  1.640  10
63.27  1.470  18
76.39  1.247  10
78.36  1.220  11
78.96  1.212  16

=====

2.
Starting from a cell relaxed with PBE, the PXRD pattern of Na10B13C7 was calculated for Cu Kα, 1.54184 Å.

Atomic structure:
```
data_Na10B13C7
_chemical_formula_sum 'Na10 B13 C7'
_symmetry_space_group_name_H-M 'P 1'
_symmetry_Int_Tables_number 1
_symmetry_space_group_name_Hall 'P 1'
_cell_length_a 8.9883
_cell_length_b 8.9883
_cell_length_c 13.2282
_cell_angle_alpha 113.36
_cell_angle_beta 113.36
_cell_angle_gamma 18.19
loop_
_atom_site_label
_atom_site_fract_x
_atom_site_fract_y
_atom_site_fract_z
_atom_site_occupancy
Na1 0.0000 0.0000 0.0000 1
Na2 0.9998 0.9998 0.4978 1
Na3 0.2005 0.2005 0.3972 1
Na4 0.2011 0.2011 0.8995 1
Na5 0.3993 0.3993 0.2986 1
Na6 0.4012 0.4012 0.8001 1
Na7 0.5997 0.5997 0.1981 1
Na8 0.6009 0.6009 0.6985 1
Na9 0.7988 0.7988 0.5990 1
Na10 0.8007 0.8007 0.0992 1
B1 0.0388 0.0388 0.8268 1
B2 0.1608 0.1608 0.5695 1
B3 0.2271 0.2271 0.2024 1
B4 0.2324 0.2324 0.7142 1
B5 0.3695 0.3695 0.9877 1
B6 0.4308 0.4308 0.6094 1
B7 0.5635 0.5635 0.3751 1
B8 0.6331 0.6331 0.0152 1
B9 0.7673 0.7673 0.2828 1
B10 0.7727 0.7727 0.7949 1
B11 0.8361 0.8361 0.4204 1
B12 0.9668 0.9668 0.1814 1
B13 0.9699 0.9699 0.6870 1
C1 0.0317 0.0317 0.3120 1
C2 0.1644 0.1644 0.0773 1
C3 0.3674 0.3674 0.4828 1
C4 0.4351 0.4351 0.1173 1
C5 0.5684 0.5684 0.8876 1
C6 0.6297 0.6297 0.5064 1
C7 0.8369 0.8369 0.9233 1
```

Top 8 peaks for 15 to 90 degrees two-theta, by angle:
2θ (°)  d (Å)  I/Imax
35.54  2.526  10
36.27  2.477  18
41.57  2.172  51
42.21  2.141  100
42.47  2.129  38
64.31  1.449  17
77.53  1.231  13
80.83  1.189  11

=====

3.
Starting from a cell relaxed with PBE, the PXRD pattern of Na5B8C2 was calculated for Cu Kα, 1.54184 Å.

Atomic structure:
```
data_Na5B8C2
_chemical_formula_sum 'Na10 B16 C4'
_symmetry_space_group_name_H-M 'P 1'
_symmetry_Int_Tables_number 1
_symmetry_space_group_name_Hall 'P 1'
_cell_length_a 5.0279
_cell_length_b 8.6552
_cell_length_c 7.8251
_cell_angle_alpha 90.00
_cell_angle_beta 108.71
_cell_angle_gamma 90.00
loop_
_atom_site_label
_atom_site_fract_x
_atom_site_fract_y
_atom_site_fract_z
_atom_site_occupancy
Na1 0.0000 0.2473 0.0000 1
Na2 0.0000 0.7527 0.0000 1
Na3 0.1951 0.2490 0.4017 1
Na4 0.1951 0.7510 0.4017 1
Na5 0.3996 0.2493 0.8011 1
Na6 0.3996 0.7507 0.8011 1
Na7 0.5988 0.2494 0.1999 1
Na8 0.5988 0.7506 0.1999 1
Na9 0.7944 0.2502 0.5999 1
Na10 0.7944 0.7498 0.5999 1
B1 0.0777 0.0000 0.7976 1
B2 0.0911 0.5000 0.8195 1
B3 0.0933 0.0000 0.5846 1
B4 0.1100 0.5000 0.5970 1
B5 0.2719 0.5000 0.1817 1
B6 0.3400 0.0000 0.0115 1
B7 0.4599 0.5000 0.6088 1
B8 0.4800 0.0000 0.6032 1
B9 0.5138 0.5000 0.4043 1
B10 0.5273 0.0000 0.3887 1
B11 0.6683 0.5000 0.0003 1
B12 0.7099 0.0000 0.8149 1
B13 0.7355 0.5000 0.7956 1
B14 0.8522 0.5000 0.3928 1
B15 0.9352 0.0000 0.2002 1
B16 0.9406 0.5000 0.2054 1
C1 0.2715 0.0000 0.2002 1
C2 0.3435 0.5000 0.0006 1
C3 0.6765 0.0000 0.0102 1
C4 0.8656 0.0000 0.3904 1
```

Top 8 peaks for 15 to 90 degrees two-theta, by angle:
2θ (°)  d (Å)  I/Imax
35.14  2.554  22
41.04  2.199  100
41.54  2.174  53
41.74  2.164  38
55.68  1.651  12
75.73  1.256  13
78.03  1.225  12
79.18  1.210  17

=====

4.
Starting from a cell relaxed with PBE, the PXRD pattern of Na5B8C2 was calculated for Cu Kα, 1.54184 Å.

Atomic structure:
```
data_Na5B8C2
_chemical_formula_sum 'Na10 B16 C4'
_symmetry_space_group_name_H-M 'P 1'
_symmetry_Int_Tables_number 1
_symmetry_space_group_name_Hall 'P 1'
_cell_length_a 13.3077
_cell_length_b 13.3077
_cell_length_c 8.6576
_cell_angle_alpha 90.00
_cell_angle_beta 90.00
_cell_angle_gamma 167.87
loop_
_atom_site_label
_atom_site_fract_x
_atom_site_fract_y
_atom_site_fract_z
_atom_site_occupancy
Na1 0.0000 0.0000 0.0000 1
Na2 0.0000 0.0000 0.5000 1
Na3 0.1991 0.8009 0.5013 1
Na4 0.1991 0.8009 0.9987 1
Na5 0.4007 0.5993 0.5020 1
Na6 0.4007 0.5993 0.9980 1
Na7 0.5993 0.4007 0.0020 1
Na8 0.5993 0.4007 0.4980 1
Na9 0.8009 0.1991 0.0013 1
Na10 0.8009 0.1991 0.4987 1
B1 0.0616 0.9384 0.7500 1
B2 0.0689 0.9311 0.2500 1
B3 0.1276 0.8724 0.7500 1
B4 0.1349 0.8651 0.2500 1
B5 0.2673 0.7327 0.2500 1
B6 0.2755 0.7245 0.7500 1
B7 0.3303 0.6697 0.2500 1
B8 0.4710 0.5290 0.7500 1
B9 0.5290 0.4710 0.2500 1
B10 0.6697 0.3303 0.7500 1
B11 0.7245 0.2755 0.2500 1
B12 0.7327 0.2673 0.7500 1
B13 0.8651 0.1349 0.7500 1
B14 0.8724 0.1276 0.2500 1
B15 0.9311 0.0689 0.7500 1
B16 0.9384 0.0616 0.2500 1
C1 0.3338 0.6662 0.7500 1
C2 0.4691 0.5309 0.2500 1
C3 0.5309 0.4691 0.7500 1
C4 0.6662 0.3338 0.2500 1
```

Top 8 peaks for 15 to 90 degrees two-theta, by angle:
2θ (°)  d (Å)  I/Imax
33.87  2.647  14
36.16  2.484  16
39.93  2.258  49
41.73  2.164  38
41.93  2.155  100
62.10  1.495  18
75.02  1.266  13
77.63  1.230  17

=====

5.
Starting from a cell relaxed with PBE, the PXRD pattern of Na5B9C was calculated for Cu Kα, 1.54184 Å.

Atomic structure:
```
data_Na5B9C
_chemical_formula_sum 'Na10 B18 C2'
_symmetry_space_group_name_H-M 'P 1'
_symmetry_Int_Tables_number 1
_symmetry_space_group_name_Hall 'P 1'
_cell_length_a 7.9360
_cell_length_b 7.9360
_cell_length_c 10.5529
_cell_angle_alpha 122.60
_cell_angle_beta 122.60
_cell_angle_gamma 37.59
loop_
_atom_site_label
_atom_site_fract_x
_atom_site_fract_y
_atom_site_fract_z
_atom_site_occupancy
Na1 0.0000 0.0000 0.0000 1
Na2 0.0000 0.0000 0.5000 1
Na3 0.1969 0.2032 0.5011 1
Na4 0.2032 0.1969 0.0011 1
Na5 0.3962 0.4022 0.9987 1
Na6 0.4022 0.3962 0.4987 1
Na7 0.5978 0.6038 0.5013 1
Na8 0.6038 0.5978 0.0013 1
Na9 0.7968 0.8031 0.9989 1
Na10 0.8031 0.7968 0.4989 1
B1 0.0197 0.3812 0.7502 1
B2 0.0315 0.3622 0.2494 1
B3 0.1606 0.8394 0.7500 1
B4 0.2284 0.5897 0.2500 1
B5 0.2362 0.5621 0.7508 1
B6 0.3622 0.0315 0.7494 1
B7 0.3812 0.0197 0.2502 1
B8 0.4103 0.7716 0.2500 1
B9 0.4380 0.7638 0.7492 1
B10 0.5621 0.2362 0.2508 1
B11 0.5897 0.2284 0.7500 1
B12 0.6188 0.9803 0.7498 1
B13 0.6378 0.9685 0.2506 1
B14 0.7638 0.4380 0.2492 1
B15 0.7716 0.4103 0.7500 1
B16 0.8394 0.1606 0.2500 1
B17 0.9685 0.6378 0.7506 1
B18 0.9803 0.6188 0.2498 1
C1 0.1587 0.8413 0.2500 1
C2 0.8413 0.1587 0.7500 1
```

Top 8 peaks for 15 to 90 degrees two-theta, by angle:
2θ (°)  d (Å)  I/Imax
34.62  2.591  21
40.55  2.224  100
40.97  2.203  51
41.63  2.169  36
55.22  1.663  11
62.66  1.483  17
76.79  1.241  12
78.07  1.224  17

=====

6.
Starting from a cell relaxed with PBE, the PXRD pattern of Na5B9C was calculated for Cu Kα, 1.54184 Å.

Atomic structure:
```
data_Na5B9C
_chemical_formula_sum 'Na10 B18 C2'
_symmetry_space_group_name_H-M 'P 1'
_symmetry_Int_Tables_number 1
_symmetry_space_group_name_Hall 'P 1'
_cell_length_a 11.7170
_cell_length_b 11.7170
_cell_length_c 10.1447
_cell_angle_alpha 106.02
_cell_angle_beta 106.02
_cell_angle_gamma 14.45
loop_
_atom_site_label
_atom_site_fract_x
_atom_site_fract_y
_atom_site_fract_z
_atom_site_occupancy
Na1 0.0000 0.0000 0.0000 1
Na2 0.1013 0.1013 0.6964 1
Na3 0.1995 0.1995 0.3968 1
Na4 0.2999 0.2999 0.0956 1
Na5 0.3999 0.3999 0.7970 1
Na6 0.4998 0.4998 0.4965 1
Na7 0.6005 0.6005 0.1965 1
Na8 0.6997 0.6997 0.8980 1
Na9 0.7997 0.7997 0.5964 1
Na10 0.8994 0.8994 0.2960 1
B1 0.0166 0.0166 0.2796 1
B2 0.0834 0.0834 0.4138 1
B3 0.1151 0.1151 0.9777 1
B4 0.1823 0.1823 0.1114 1
B5 0.2166 0.2166 0.6794 1
B6 0.2833 0.2833 0.8144 1
B7 0.3115 0.3115 0.3701 1
B8 0.3787 0.3787 0.5043 1
B9 0.4165 0.4165 0.0800 1
B10 0.4833 0.4833 0.2137 1
B11 0.5249 0.5249 0.7967 1
B12 0.6164 0.6164 0.4803 1
B13 0.6837 0.6837 0.6136 1
B14 0.7203 0.7203 0.1873 1
B15 0.8163 0.8163 0.8807 1
B16 0.8835 0.8835 0.0138 1
B17 0.9187 0.9187 0.5845 1
B18 0.9834 0.9834 0.7134 1
C1 0.5841 0.5841 0.9157 1
C2 0.7818 0.7818 0.3102 1
```

Top 8 peaks for 15 to 90 degrees two-theta, by angle:
2θ (°)  d (Å)  I/Imax
34.91  2.570  38
40.02  2.253  50
40.39  2.233  49
40.78  2.213  100
40.97  2.203  98
41.89  2.156  69
61.62  1.505  36
77.66  1.229  28

=====

7.
Starting from a cell relaxed with PBE, the PXRD pattern of Na5B8C2 was calculated for Cu Kα, 1.54184 Å.

Atomic structure:
```
data_Na5B8C2
_chemical_formula_sum 'Na10 B16 C4'
_symmetry_space_group_name_H-M 'P 1'
_symmetry_Int_Tables_number 1
_symmetry_space_group_name_Hall 'P 1'
_cell_length_a 11.7336
_cell_length_b 11.7336
_cell_length_c 10.0961
_cell_angle_alpha 106.09
_cell_angle_beta 106.09
_cell_angle_gamma 13.96
loop_
_atom_site_label
_atom_site_fract_x
_atom_site_fract_y
_atom_site_fract_z
_atom_site_occupancy
Na1 0.0000 0.0000 0.0000 1
Na2 0.0996 0.0996 0.6988 1
Na3 0.1977 0.1977 0.4001 1
Na4 0.2998 0.2998 0.0970 1
Na5 0.3994 0.3994 0.8003 1
Na6 0.4997 0.4997 0.4949 1
Na7 0.5981 0.5981 0.2000 1
Na8 0.7000 0.7000 0.8974 1
Na9 0.7980 0.7980 0.6005 1
Na10 0.8990 0.8990 0.2970 1
B1 0.0099 0.0099 0.2695 1
B2 0.0796 0.0796 0.4086 1
B3 0.1212 0.1212 0.9922 1
B4 0.1868 0.1868 0.1245 1
B5 0.2127 0.2127 0.6762 1
B6 0.2822 0.2822 0.8157 1
B7 0.3140 0.3140 0.3787 1
B8 0.3770 0.3770 0.5040 1
B9 0.4157 0.4157 0.0815 1
B10 0.5199 0.5199 0.7909 1
B11 0.5846 0.5846 0.9191 1
B12 0.6194 0.6194 0.4888 1
B13 0.7746 0.7746 0.3003 1
B14 0.8225 0.8225 0.8959 1
B15 0.9181 0.9181 0.5856 1
B16 0.9810 0.9810 0.7121 1
C1 0.4791 0.4791 0.2080 1
C2 0.6816 0.6816 0.6132 1
C3 0.7154 0.7154 0.1822 1
C4 0.8844 0.8844 0.0192 1
```

Top 8 peaks for 15 to 90 degrees two-theta, by angle:
2θ (°)  d (Å)  I/Imax
34.20  2.622  12
35.84  2.505  18
40.21  2.243  25
40.32  2.237  25
41.71  2.165  100
41.96  2.153  37
62.30  1.490  18
79.73  1.203  10

=====

8.
Starting from a cell relaxed with PBE, the PXRD pattern of Na5B8C2 was calculated for Cu Kα, 1.54184 Å.

Atomic structure:
```
data_Na5B8C2
_chemical_formula_sum 'Na10 B16 C4'
_symmetry_space_group_name_H-M 'P 1'
_symmetry_Int_Tables_number 1
_symmetry_space_group_name_Hall 'P 1'
_cell_length_a 9.1522
_cell_length_b 9.1522
_cell_length_c 13.6429
_cell_angle_alpha 112.30
_cell_angle_beta 112.30
_cell_angle_gamma 17.79
loop_
_atom_site_label
_atom_site_fract_x
_atom_site_fract_y
_atom_site_fract_z
_atom_site_occupancy
Na1 0.0000 0.0000 0.0000 1
Na2 0.9999 0.9999 0.4965 1
Na3 0.2005 0.2005 0.8984 1
Na4 0.2009 0.2009 0.3994 1
Na5 0.3984 0.3984 0.7965 1
Na6 0.3994 0.3994 0.3015 1
Na7 0.6006 0.6006 0.6935 1
Na8 0.6017 0.6017 0.2010 1
Na9 0.7992 0.7992 0.5959 1
Na10 0.8005 0.8005 0.1019 1
B1 0.0219 0.0219 0.7904 1
B2 0.1658 0.1658 0.5776 1
B3 0.1731 0.1731 0.0961 1
B4 0.2305 0.2305 0.7064 1
B5 0.2415 0.2415 0.2329 1
B6 0.3718 0.3718 0.9938 1
B7 0.4305 0.4305 0.6073 1
B8 0.4337 0.4337 0.1191 1
B9 0.5621 0.5621 0.3734 1
B10 0.5657 0.5657 0.8790 1
B11 0.6283 0.6283 0.5038 1
B12 0.6297 0.6297 0.0084 1
B13 0.7694 0.7694 0.7852 1
B14 0.8316 0.8316 0.9109 1
B15 0.8367 0.8367 0.4209 1
B16 0.9731 0.9731 0.1977 1
C1 0.0325 0.0325 0.3154 1
C2 0.3685 0.3685 0.4833 1
C3 0.7729 0.7729 0.2955 1
C4 0.9625 0.9625 0.6714 1
```

Top 8 peaks for 15 to 90 degrees two-theta, by angle:
2θ (°)  d (Å)  I/Imax
34.07  2.631  10
36.02  2.493  12
40.10  2.248  36
41.79  2.161  100
62.26  1.491  13
76.25  1.249  9
77.70  1.229  6
77.86  1.227  6

=====

9.
Starting from a cell relaxed with PBE, the PXRD pattern of Na5B9C was calculated for Cu Kα, 1.54184 Å.

Atomic structure:
```
data_Na5B9C
_chemical_formula_sum 'Na10 B18 C2'
_symmetry_space_group_name_H-M 'P 1'
_symmetry_Int_Tables_number 1
_symmetry_space_group_name_Hall 'P 1'
_cell_length_a 8.6557
_cell_length_b 7.9544
_cell_length_c 7.9544
_cell_angle_alpha 142.50
_cell_angle_beta 90.00
_cell_angle_gamma 90.00
loop_
_atom_site_label
_atom_site_fract_x
_atom_site_fract_y
_atom_site_fract_z
_atom_site_occupancy
Na1 0.2480 0.2003 0.7997 1
Na2 0.2480 0.7997 0.2003 1
Na3 0.2494 0.4029 0.6030 1
Na4 0.2494 0.6030 0.4029 1
Na5 0.2504 0.0058 0.0058 1
Na6 0.7496 0.0058 0.0058 1
Na7 0.7506 0.4029 0.6030 1
Na8 0.7506 0.6030 0.4029 1
Na9 0.7520 0.2003 0.7997 1
Na10 0.7520 0.7997 0.2003 1
B1 0.0000 0.0804 0.2742 1
B2 0.0000 0.1207 0.5247 1
B3 0.0000 0.2742 0.0804 1
B4 0.0000 0.3427 0.3427 1
B5 0.0000 0.4667 0.8633 1
B6 0.0000 0.5247 0.1207 1
B7 0.0000 0.6859 0.6859 1
B8 0.0000 0.7325 0.9383 1
B9 0.0000 0.8633 0.4667 1
B10 0.0000 0.9383 0.7325 1
B11 0.5000 0.0697 0.2724 1
B12 0.5000 0.1371 0.5500 1
B13 0.5000 0.2724 0.0697 1
B14 0.5000 0.3276 0.3276 1
B15 0.5000 0.5500 0.1371 1
B16 0.5000 0.6797 0.6797 1
B17 0.5000 0.7123 0.9298 1
B18 0.5000 0.9298 0.7123 1
C1 0.5000 0.4631 0.8670 1
C2 0.5000 0.8670 0.4631 1
```

Top 8 peaks for 15 to 90 degrees two-theta, by angle:
2θ (°)  d (Å)  I/Imax
34.55  2.596  21
40.52  2.226  100
41.00  2.202  51
41.74  2.164  36
62.61  1.484  17
75.38  1.261  12
76.65  1.243  12
78.10  1.224  17